Ca2CrRhO6: simulated powder XRD pattern (Cu Kα), based on the GGA+U geometry in Alexandria.
Neutral-atom scattering factors, no anomalous dispersion.

The 10 most intense peaks (2θ from 15° to 90°), by angle:
| index | 2θ/deg | d (Å) | intensity |
| --- | --- | --- | --- |
| 1 1 -1 | 23.01 | 3.865 | 31 |
| 0 0 2 | 23.13 | 3.845 | 14 |
| 0 2 0 | 32.24 | 2.776 | 25 |
| 1 1 1 | 32.85 | 2.726 | 100 |
| 2 0 -2 | 33.28 | 2.692 | 23 |
| 2 2 -2 | 47.02 | 1.933 | 31 |
| 0 0 4 | 47.28 | 1.923 | 18 |
| 1 3 1 | 57.88 | 1.593 | 16 |
| 3 1 -1 | 59.20 | 1.561 | 25 |
| 2 2 2 | 68.89 | 1.363 | 14 |

Atomic structure:
```
Ca2CrRhO6
1.0
5.384 0.000 0.000
0.000 5.553 0.000
-5.379 0.000 7.690
Ca Cr Rh O
4 2 2 12
Cartesian
-0.071 0.311 1.931 Ca
-2.761 2.465 5.776 Ca
2.766 3.087 1.914 Ca
0.077 5.242 5.759 Ca
2.692 0.000 0.000 Cr
0.003 2.776 3.845 Cr
-2.689 0.000 3.845 Rh
0.000 2.776 0.000 Rh
-4.311 1.119 7.316 O
-1.622 1.657 3.471 O
-3.757 3.898 7.323 O
-1.068 4.431 3.478 O
-2.185 0.148 5.768 O
0.505 2.628 1.923 O
-0.499 2.925 5.767 O
2.190 5.404 1.922 O
1.074 1.122 4.212 O
3.763 1.655 0.367 O
1.627 3.896 4.220 O
4.316 4.433 0.375 O
```